1.
BaSn6Pb2: computed powder XRD pattern (a wavelength of 1.5418 Å), based on DFT lattice parameters and positions (PBE).

Atomic structure:
```
9
Lattice="4.788 2.764 3.436 -4.788 2.764 3.436 0.000 -5.529 3.436" Properties=species:S:1:pos:R:3 pbc="T T T"
Ba 0.000 0.000 0.000
Sn -1.561 -2.703 5.154
Sn -3.121 0.000 5.154
Sn 1.561 -2.703 5.154
Sn -1.561 2.703 5.154
Sn 3.121 0.000 5.154
Sn 1.561 2.703 5.154
Pb 0.000 0.000 3.535
Pb 0.000 0.000 6.773
```

Principal peaks in the range 10° ≤ 2θ ≤ 90°, low angle first:
2theta	I/Imax
32.06	100
32.39	97
46.22	37
53.33	8
57.57	39
57.77	19
63.79	28
67.80	12
76.98	17
82.50	14

2.
BaSn4Pb: computed powder XRD pattern (a wavelength of 1.5418 Å), based on DFT lattice parameters and positions (PBE).

Atomic structure:
```
12
Lattice="4.855 0.000 0.000 0.000 7.945 0.000 0.000 0.000 10.006" Properties=species:S:1:pos:R:3 pbc="T T T"
Ba 0.000 0.000 0.000
Ba 2.427 3.972 5.003
Sn 0.000 1.474 5.907
Sn 0.000 2.356 2.805
Sn 0.000 5.589 2.805
Sn 0.000 6.471 5.907
Sn 2.427 1.616 7.808
Sn 2.427 2.499 0.904
Sn 2.427 5.446 0.904
Sn 2.427 6.328 7.808
Pb 0.000 3.972 8.431
Pb 2.427 0.000 3.429
```

Principal peaks in the range 10° ≤ 2θ ≤ 90°, low angle first:
2theta	I/Imax
27.96	92
28.70	22
30.42	100
32.57	39
35.05	35
37.03	39
39.88	26
51.91	23
53.83	28
64.45	24